# 1
Structure and computed powder XRD pattern of Y2Er5Sc2 (DFT lattice parameters and positions (GGA-PBE); Cu Ka).

Structure:
a = 5.976 Å, b = 6.141 Å, c = 8.230 Å
α = 71.54°, β = 71.01°, γ = 84.09°
Element x y z (fractional)
Y (0.095, 0.286, 0.377)
Y (0.905, 0.714, 0.623)
Er (0.254, 0.833, 0.169)
Er (0.318, 0.924, 0.732)
Er (0.500, 0.500, 0.500)
Er (0.682, 0.076, 0.268)
Er (0.746, 0.167, 0.831)
Sc (0.199, 0.355, 0.933)
Sc (0.801, 0.645, 0.067)

Peak list (10 most intense, 2θ = 5–70°, in order of falling intensity)
2θ/deg	d_spacing	I_rel
33.32	2.689	100
32.27	2.774	83
31.61	2.831	75
32.93	2.720	70
34.65	2.589	66
30.15	2.964	46
35.31	2.542	40
25.16	3.540	24
21.91	4.056	23
50.25	1.816	22

---

# 2
Structure and computed powder XRD pattern of Y4Er3Sc2 (DFT lattice parameters and positions (GGA-PBE); Cu Ka).

Structure:
a = 9.506 Å, b = 9.506 Å, c = 6.878 Å
α = 90.00°, β = 90.00°, γ = 119.86°
Element x y z (fractional)
Y (0.031, 0.686, 0.000)
Y (0.314, 0.969, 0.500)
Y (0.322, 0.341, 0.000)
Y (0.341, 0.322, 0.500)
Y (0.659, 0.678, 0.500)
Y (0.678, 0.659, 0.000)
Y (0.686, 0.031, 0.500)
Y (0.969, 0.314, 0.000)
Er (0.000, 0.000, 0.250)
Er (0.000, 0.000, 0.750)
Er (0.333, 0.667, 0.250)
Er (0.333, 0.667, 0.750)
Er (0.667, 0.333, 0.250)
Er (0.667, 0.333, 0.750)
Sc (0.027, 0.354, 0.500)
Sc (0.354, 0.027, 0.000)
Sc (0.646, 0.973, 0.000)
Sc (0.973, 0.646, 0.500)

Peak list (10 most intense, 2θ = 5–70°, in order of falling intensity)
2θ/deg	d_spacing	I_rel
32.12	2.787	100
32.61	2.746	79
46.42	1.956	34
18.65	4.757	26
57.85	1.594	22
63.86	1.458	15
57.94	1.592	12
58.23	1.584	9
63.90	1.457	8
53.28	1.719	7

---

# 3
Structure and computed powder XRD pattern of YEr4Sc4 (DFT lattice parameters and positions (GGA-PBE); Cu Ka).

Structure:
a = 7.613 Å, b = 7.613 Å, c = 7.613 Å
α = 95.76°, β = 95.76°, γ = 143.07°
Element x y z (fractional)
Y (0.000, 0.000, 0.000)
Er (0.331, 0.331, 0.662)
Er (0.331, 0.669, 0.000)
Er (0.669, 0.331, 0.000)
Er (0.669, 0.669, 0.338)
Sc (0.000, 0.341, 0.341)
Sc (0.000, 0.659, 0.659)
Sc (0.341, 0.000, 0.341)
Sc (0.659, 0.000, 0.659)

Peak list (10 most intense, 2θ = 5–70°, in order of falling intensity)
2θ/deg	d_spacing	I_rel
32.19	2.781	100
37.34	2.408	50
64.12	1.452	40
53.83	1.703	34
20.36	4.361	12
12.26	7.221	12
67.34	1.391	11
26.89	3.316	11
17.37	5.106	10
36.80	2.442	7

---

# 4
Structure and computed powder XRD pattern of Y4ErSc4 (DFT lattice parameters and positions (GGA-PBE); Cu Ka).

Structure:
a = 8.709 Å, b = 8.709 Å, c = 8.984 Å
α = 107.21°, β = 107.21°, γ = 23.44°
Element x y z (fractional)
Y (0.160, 0.160, 0.438)
Y (0.303, 0.303, 0.196)
Y (0.697, 0.697, 0.804)
Y (0.840, 0.840, 0.562)
Er (0.500, 0.500, 0.500)
Sc (0.022, 0.022, 0.830)
Sc (0.376, 0.376, 0.892)
Sc (0.624, 0.624, 0.108)
Sc (0.978, 0.978, 0.170)

Peak list (10 most intense, 2θ = 5–70°, in order of falling intensity)
2θ/deg	d_spacing	I_rel
33.61	2.667	100
33.83	2.649	94
31.48	2.842	48
10.33	8.563	46
31.34	2.854	41
30.25	2.955	34
33.06	2.710	30
55.33	1.661	25
61.74	1.503	24
32.42	2.761	24

---

# 5
Structure and computed powder XRD pattern of Er4ScZn5 (DFT lattice parameters and positions (GGA-PBE); Cu Ka).

Structure:
a = 3.500 Å, b = 3.500 Å, c = 17.529 Å
α = 90.00°, β = 90.00°, γ = 90.00°
Element x y z (fractional)
Er (0.000, 0.000, 0.102)
Er (0.000, 0.000, 0.306)
Er (0.000, 0.000, 0.694)
Er (0.000, 0.000, 0.898)
Sc (0.000, 0.000, 0.500)
Zn (0.500, 0.500, 0.000)
Zn (0.500, 0.500, 0.204)
Zn (0.500, 0.500, 0.411)
Zn (0.500, 0.500, 0.589)
Zn (0.500, 0.500, 0.796)

Peak list (10 most intense, 2θ = 5–70°, in order of falling intensity)
2θ/deg	d_spacing	I_rel
36.28	2.476	100
65.27	1.430	34
52.25	1.751	17
25.44	3.502	14
5.04	17.529	11
58.98	1.566	6
44.83	2.022	4
32.75	2.735	4
10.09	8.764	3
29.76	3.002	2

---

# 6
Structure and computed powder XRD pattern of ErSc3Zn4 (DFT lattice parameters and positions (GGA-PBE); Cu Ka).

Structure:
a = 9.580 Å, b = 6.841 Å, c = 4.790 Å
α = 90.00°, β = 90.00°, γ = 90.00°
Element x y z (fractional)
Er (0.000, 0.000, 0.000)
Er (0.500, 0.000, 0.000)
Sc (0.000, 0.500, 0.000)
Sc (0.250, 0.000, 0.499)
Sc (0.250, 0.500, 0.499)
Sc (0.500, 0.500, 0.000)
Sc (0.750, 0.000, 0.501)
Sc (0.750, 0.500, 0.501)
Zn (0.000, 0.262, 0.500)
Zn (0.000, 0.738, 0.500)
Zn (0.250, 0.262, 0.999)
Zn (0.250, 0.738, 0.999)
Zn (0.500, 0.262, 0.500)
Zn (0.500, 0.738, 0.500)
Zn (0.750, 0.262, 0.001)
Zn (0.750, 0.738, 0.001)

Peak list (10 most intense, 2θ = 5–70°, in order of falling intensity)
2θ/deg	d_spacing	I_rel
37.36	2.407	100
37.55	2.395	50
67.64	1.385	32
54.15	1.694	17
67.27	1.392	16
22.66	3.924	15
18.52	4.790	12
29.42	3.036	11
12.94	6.841	8
53.59	1.710	8

---

# 7
Structure and computed powder XRD pattern of ErScZn17 (DFT lattice parameters and positions (GGA-PBE); Cu Ka).

Structure:
a = 6.741 Å, b = 6.741 Å, c = 6.741 Å
α = 82.57°, β = 82.57°, γ = 82.57°
Element x y z (fractional)
Er (0.000, 0.000, 0.000)
Sc (0.332, 0.332, 0.332)
Zn (0.022, 0.022, 0.496)
Zn (0.022, 0.496, 0.022)
Zn (0.161, 0.669, 0.669)
Zn (0.314, 0.314, 0.821)
Zn (0.314, 0.821, 0.314)
Zn (0.366, 0.663, 0.967)
Zn (0.366, 0.967, 0.663)
Zn (0.496, 0.022, 0.022)
Zn (0.562, 0.562, 0.562)
Zn (0.663, 0.366, 0.967)
Zn (0.663, 0.967, 0.366)
Zn (0.669, 0.161, 0.669)
Zn (0.669, 0.669, 0.161)
Zn (0.763, 0.763, 0.763)
Zn (0.821, 0.314, 0.314)
Zn (0.967, 0.366, 0.663)
Zn (0.967, 0.663, 0.366)

Peak list (10 most intense, 2θ = 5–70°, in order of falling intensity)
2θ/deg	d_spacing	I_rel
40.76	2.213	100
40.57	2.224	57
45.79	1.982	51
34.94	2.568	36
41.36	2.183	34
36.00	2.495	26
41.70	2.166	24
66.62	1.404	16
13.33	6.640	14
28.65	3.116	13

---

# 8
Structure and computed powder XRD pattern of Er3Sc2Zn3 (DFT lattice parameters and positions (GGA-PBE); Cu Ka).

Structure:
a = 10.801 Å, b = 10.801 Å, c = 10.801 Å
α = 161.37°, β = 153.13°, γ = 32.90°
Element x y z (fractional)
Er (0.000, 0.000, 0.000)
Er (0.378, 0.878, 0.500)
Er (0.622, 0.122, 0.500)
Sc (0.232, 0.232, 0.000)
Sc (0.768, 0.768, 0.000)
Zn (0.121, 0.621, 0.500)
Zn (0.500, 0.500, 0.000)
Zn (0.879, 0.379, 0.500)

Peak list (10 most intense, 2θ = 5–70°, in order of falling intensity)
2θ/deg	d_spacing	I_rel
35.77	2.510	100
8.54	10.359	23
64.28	1.449	20
34.64	2.590	20
50.65	1.802	13
62.81	1.479	12
27.92	3.196	10
25.83	3.449	9
21.89	4.061	8
65.00	1.435	7

---

# 9
Structure and computed powder XRD pattern of ErZr2Sc3 (DFT lattice parameters and positions (GGA-PBE); Cu Ka).

Structure:
a = 8.910 Å, b = 3.199 Å, c = 10.502 Å
α = 90.00°, β = 93.52°, γ = 90.00°
Element x y z (fractional)
Er (0.244, 0.250, 0.355)
Er (0.756, 0.750, 0.645)
Zr (0.088, 0.250, 0.622)
Zr (0.449, 0.750, 0.129)
Zr (0.551, 0.250, 0.871)
Zr (0.912, 0.750, 0.378)
Sc (0.075, 0.750, 0.121)
Sc (0.239, 0.750, 0.861)
Sc (0.399, 0.750, 0.615)
Sc (0.601, 0.250, 0.385)
Sc (0.761, 0.250, 0.139)
Sc (0.925, 0.250, 0.879)

Peak list (10 most intense, 2θ = 5–70°, in order of falling intensity)
2θ/deg	d_spacing	I_rel
33.81	2.651	100
34.22	2.620	93
35.92	2.500	93
13.45	6.585	80
35.70	2.515	78
8.44	10.482	60
39.09	2.304	55
31.08	2.877	53
32.80	2.731	42
34.04	2.634	34

---

# 10
Structure and computed powder XRD pattern of Er5ZrSc3 (DFT lattice parameters and positions (GGA-PBE); Cu Ka).

Structure:
a = 8.135 Å, b = 8.135 Å, c = 10.044 Å
α = 105.97°, β = 105.97°, γ = 57.90°
Element x y z (fractional)
Er (0.007, 0.007, 0.693)
Er (0.051, 0.630, 0.431)
Er (0.180, 0.820, 0.000)
Er (0.237, 0.237, 0.923)
Er (0.370, 0.949, 0.569)
Er (0.630, 0.051, 0.431)
Er (0.763, 0.763, 0.077)
Er (0.820, 0.180, 0.000)
Er (0.949, 0.370, 0.569)
Er (0.993, 0.993, 0.307)
Zr (0.408, 0.408, 0.208)
Zr (0.592, 0.592, 0.792)
Sc (0.202, 0.202, 0.255)
Sc (0.371, 0.371, 0.702)
Sc (0.500, 0.500, 0.000)
Sc (0.500, 0.500, 0.500)
Sc (0.629, 0.629, 0.298)
Sc (0.798, 0.798, 0.745)

Peak list (10 most intense, 2θ = 5–70°, in order of falling intensity)
2θ/deg	d_spacing	I_rel
32.03	2.795	100
29.23	3.055	91
29.75	3.003	85
32.94	2.719	80
29.42	3.036	78
26.38	3.378	71
34.78	2.580	62
13.02	6.799	62
38.71	2.326	58
25.04	3.556	53

---

# 11
Structure and computed powder XRD pattern of Er6ZrSc8 (DFT lattice parameters and positions (GGA-PBE); Cu Ka).

Structure:
a = 8.136 Å, b = 8.136 Å, c = 8.136 Å
α = 63.19°, β = 63.19°, γ = 63.19°
Element x y z (fractional)
Er (0.044, 0.613, 0.713)
Er (0.287, 0.956, 0.387)
Er (0.387, 0.287, 0.956)
Er (0.613, 0.713, 0.044)
Er (0.713, 0.044, 0.613)
Er (0.956, 0.387, 0.287)
Zr (0.500, 0.500, 0.500)
Sc (0.074, 0.074, 0.074)
Sc (0.221, 0.608, 0.249)
Sc (0.249, 0.221, 0.608)
Sc (0.392, 0.751, 0.779)
Sc (0.608, 0.249, 0.221)
Sc (0.751, 0.779, 0.392)
Sc (0.779, 0.392, 0.751)
Sc (0.926, 0.926, 0.926)

Peak list (10 most intense, 2θ = 5–70°, in order of falling intensity)
2θ/deg	d_spacing	I_rel
33.43	2.680	100
32.42	2.762	36
13.67	6.478	36
34.51	2.599	26
30.41	2.939	20
39.16	2.300	18
59.08	1.564	18
37.16	2.420	14
24.55	3.626	14
25.91	3.439	13

---

# 12
Structure and computed powder XRD pattern of ErZr2Sc (DFT lattice parameters and positions (GGA-PBE); Cu Ka).

Structure:
a = 3.269 Å, b = 3.269 Å, c = 9.367 Å
α = 90.00°, β = 90.00°, γ = 90.00°
Element x y z (fractional)
Er (0.000, 0.000, 0.000)
Zr (0.000, 0.000, 0.511)
Zr (0.500, 0.500, 0.748)
Sc (0.500, 0.500, 0.278)

Peak list (10 most intense, 2θ = 5–70°, in order of falling intensity)
2θ/deg	d_spacing	I_rel
33.43	2.680	100
38.97	2.311	33
67.07	1.395	25
55.89	1.645	21
9.44	9.367	19
38.44	2.342	16
66.36	1.409	12
56.29	1.634	11
18.95	4.684	9
28.93	3.086	8